Diffraction record for Cr4Co. The powder XRD pattern is computed, not measured: it uses DFT lattice parameters and positions (GGA-PBE) and CuKα.
Neutral-atom scattering factors, no anomalous dispersion.

Most intense lines, 10° ≤ 2θ ≤ 90°, most intense first:
Position (°2θ)  d/Å  intensity
45.04  2.013  100
45.40  1.998  49
83.63  1.156  27
82.85  1.165  14
66.15  1.413  14
65.03  1.434  7
40.38  2.234  1
34.33  2.612  1
69.56  1.352  1

Structure:
a b c (Å): 4.6918 4.6918 4.6918
angles (deg): 95.36 95.36 144.40
Element x y z (fractional)
Cr  0.1083  0.3055  0.4139
Cr  0.3055  0.8917  0.1972
Cr  0.6945  0.1083  0.8028
Cr  0.8917  0.6945  0.5861
Co  0.5000  0.5000  0.0000